This entry pairs a crystal structure of MgFe7Ni6O16 with its simulated X-ray diffraction stick pattern. Radiation: Cu Kα, 1.54184 Å. Structure: a structure optimized by DFT (GGA+U).
Lines closer than 0.1° are merged.

Atomic structure:
a b c (Å): 10.413 5.993 10.636
angles (deg): 90.00 108.68 90.00
Space group Cm (No. 8)
Unique sites:
Mg (0.000, 0.000, 0.000) x2
Fe (0.093, 0.000, 0.250) x2
Fe (0.259, 0.500, 0.270) x2
Fe (0.260, 0.249, 0.535) x4
Fe (0.269, 0.232, 0.034) x4
Fe (0.450, 0.000, 0.352) x2
Ni (0.010, 0.000, 0.533) x2
Ni (0.013, 0.260, 0.773) x4
Ni (0.014, 0.500, 0.030) x2
Ni (0.254, 0.500, 0.776) x2
Ni (0.261, 0.000, 0.779) x2
O (0.132, 0.000, 0.895) x2
O (0.133, 0.500, 0.898) x2
O (0.134, 0.247, 0.133) x4
O (0.145, 0.241, 0.660) x4
O (0.146, 0.000, 0.439) x2
O (0.147, 0.500, 0.418) x2
O (0.378, 0.260, 0.413) x4
O (0.379, 0.000, 0.656) x2
O (0.381, 0.500, 0.653) x2
O (0.383, 0.247, 0.900) x4
O (0.383, 0.500, 0.132) x2
O (0.393, 0.000, 0.157) x2

Peak list (10 most intense, 5 to 70 degrees two-theta, in order of rising 2θ)
2θ (°)	I_rel	hkl
8.78	37	0 0 1
34.68	30	3 1 1
34.85	28	3 1 -3
35.64	26	0 0 4
36.62	42	2 2 -2
42.16	100	2 2 2
42.29	48	4 0 -4
60.72	41	2 2 -6
61.78	45	6 2 -2
61.94	23	0 4 0